Diffraction record for GaSeBr7. The X-ray diffraction stick pattern is theoretical, not measured: it uses a structure optimized by DFT (PBE) and λ = 1.5418 Å (Cu Kα).

Peak list (10 most intense, 2θ = 10–90°, in order of rising 2θ)
2θ/deg  I/Imax  hkl
15.52  59  1 0 -2
17.61  38  1 1 0
18.46  33  0 1 2
23.79  100  1 1 2
26.69  40  0 2 1
26.78  38  2 1 -1
28.86  28  1 1 3
29.65  29  2 1 1
35.16  41  1 1 -5
47.82  36  3 0 -6

Structural model:
```
data_GaSeBr7
_chemical_formula_sum 'Ga2 Se2 Br14'
_space_group_name_H-M_alt 'P 1 c 1'
_space_group_IT_number 7
_cell_length_a 7.607
_cell_length_b 6.896
_cell_length_c 13.830
_cell_angle_alpha 90.00
_cell_angle_beta 104.28
_cell_angle_gamma 90.00
loop_
_space_group_symop_operation_xyz
'x,y,z'
'x,-y,z+1/2'
loop_
_atom_site_label
_atom_site_type_symbol
_atom_site_fract_x
_atom_site_fract_y
_atom_site_fract_z
_atom_site_occupancy
Ga1 Ga 0.000 0.008 0.000 1
Se1 Se 0.662 0.390 0.845 1
Br1 Br 0.000 0.149 0.842 1
Br2 Br 0.036 0.329 0.498 1
Br3 Br 0.236 0.152 0.124 1
Br4 Br 0.441 0.432 0.402 1
Br5 Br 0.468 0.157 0.742 1
Br6 Br 0.714 0.402 0.218 1
Br7 Br 0.715 0.102 0.030 1
```